The following is a simulated powder X-ray diffraction pattern of PdSe2S. It was derived from a structure optimized by DFT (GGA-PBE), using Cu Kα (λ = 1.5418 Å).
No peak broadening, texture or thermal motion is included.

Crystal structure
a = 3.748 Å, b = 5.841 Å, c = 9.318 Å
α = 94.45°, β = 90.35°, γ = 90.05°
Fractional coordinates of all 8 atoms:
1 Pd 0.248 0.013 0.314
2 Pd 0.752 0.987 0.686
3 Se 0.251 0.234 0.603
4 Se 0.254 0.819 0.815
5 Se 0.746 0.181 0.185
6 Se 0.749 0.766 0.397
7 S 0.253 0.444 0.827
8 S 0.747 0.556 0.173

Most intense lines, 2θ from 10° to 90°, low angle first:
| index | 2θ (°) | I_rel |
| --- | --- | --- |
| 0 1 0 | 15.21 | 100 |
| 0 0 2 | 19.11 | 74 |
| 0 1 2 | 25.44 | 80 |
| 1 -1 1 | 29.55 | 100 |
| 0 1 3 | 33.81 | 59 |
| 1 -2 1 | 39.81 | 78 |
| 1 2 -2 | 42.80 | 35 |
| 1 0 -4 | 45.84 | 30 |
| 1 0 4 | 46.11 | 29 |
| 2 0 0 | 48.60 | 36 |